(1)
Simulated powder XRD pattern
Compound: P2H4PbO4
Radiation: a wavelength of 1.5418 Å
Structure: a cell relaxed with GGA-PBE

Main lines, sorted by position (2θ from 10° to 80°):
- 10.96 deg, d 8.074, I 1000, (2 0 0)
- 21.19 deg, d 4.193, I 158, (1 1 -1)
- 21.57 deg, d 4.119, I 188, (1 1 1)
- 26.06 deg, d 3.420, I 376, (3 1 -1)
- 26.99 deg, d 3.303, I 375, (3 1 1)
- 29.32 deg, d 3.046, I 127, (0 2 0)
- 29.42 deg, d 3.036, I 124, (0 0 2)
- 31.38 deg, d 2.850, I 124, (2 2 0)
- 34.12 deg, d 2.628, I 188, (5 1 -1)
- 35.35 deg, d 2.539, I 155, (5 1 1)

Structure:
```
data_P2H4PbO4
_chemical_formula_sum 'P8 H16 Pb4 O16'
_cell_length_a 16.1691
_cell_length_b 6.0929
_cell_length_c 6.0789
_cell_angle_alpha 90.00
_cell_angle_beta 92.88
_cell_angle_gamma 90.00
_symmetry_space_group_name_H-M 'C 1 2/c 1'
_symmetry_Int_Tables_number 15
_symmetry_space_group_name_Hall '-C 2yc'
loop_
_atom_site_label
_atom_site_type_symbol
_atom_site_fract_x
_atom_site_fract_y
_atom_site_fract_z
_atom_site_occupancy
P1 P 0.1354 0.2493 0.2683 1
H1 H 0.1897 0.1195 0.4042 1
H2 H 0.1906 0.3767 0.1472 1
Pb1 Pb 0.0000 0.2501 0.7500 1
O1 O 0.0862 0.0981 0.1092 1
O2 O 0.0869 0.4022 0.4144 1
```

---

(2)
Simulated powder XRD pattern
Compound: Ho12Co5Pb
Radiation: a wavelength of 1.5418 Å
Structure: a cell relaxed with GGA-PBE

Main lines, sorted by position (2θ from 10° to 80°):
- 28.85 deg, d 3.095, I 258, (1 0 3)
- 29.96 deg, d 2.983, I 307, (0 3 1)
- 30.16 deg, d 2.963, I 357, (3 1 0)
- 32.57 deg, d 2.749, I 1000, (2 2 2)
- 34.74 deg, d 2.582, I 535, (2 1 3)
- 35.31 deg, d 2.542, I 520, (1 3 2)
- 35.71 deg, d 2.514, I 433, (3 2 1)
- 55.14 deg, d 1.666, I 226, (0 3 5)
- 60.11 deg, d 1.539, I 196, (2 5 3)
- 60.61 deg, d 1.528, I 280, (5 3 2)

Structure:
```
data_Ho12Co5Pb
_chemical_formula_sum 'Ho24 Co10 Pb2'
_cell_length_a 9.3633
_cell_length_b 9.3934
_cell_length_c 9.8358
_cell_angle_alpha 90.00
_cell_angle_beta 90.00
_cell_angle_gamma 90.00
_symmetry_space_group_name_H-M 'I m m m'
_symmetry_Int_Tables_number 71
_symmetry_space_group_name_Hall '-I 2 2'
loop_
_atom_site_label
_atom_site_type_symbol
_atom_site_fract_x
_atom_site_fract_y
_atom_site_fract_z
_atom_site_occupancy
Ho1 Ho 0.0000 0.1934 0.2072 1
Ho2 Ho 0.1932 0.5000 0.1872 1
Ho3 Ho 0.2090 0.3150 0.5000 1
Co1 Co 0.0000 0.0000 0.0000 1
Co2 Co 0.0000 0.3782 0.0000 1
Co3 Co 0.0000 0.5000 0.3878 1
Pb1 Pb 0.0000 0.0000 0.5000 1
```